Entry 1:
Calculated powder diffractogram
Compound: KRbZn2BiP
Radiation: Cu Ka
Structure: the PBE geometry in OQMD
Kinematic intensities with the Lorentz-polarization factor, no thermal factor.

Atomic structure:
```
data_KRbZn2BiP
_space_group_name_H-M_alt 'P 3 m 1'
_space_group_IT_number 156
_space_group_name_Hall 'P 3 -2"'
_cell_length_a 4.4694
_cell_length_b 4.4694
_cell_length_c 10.7559
_cell_angle_alpha 90.00
_cell_angle_beta 90.00
_cell_angle_gamma 120.00
loop_
_atom_site_label
_atom_site_fract_x
_atom_site_fract_y
_atom_site_fract_z
K1 0.0000 0.0000 0.0000
Rb1 0.0000 0.0000 0.5356
Zn1 0.3333 0.6667 0.2607
Zn2 0.6667 0.3333 0.7763
Bi1 0.6667 0.3333 0.2591
P1 0.3333 0.6667 0.7743
```

Peak list (8 most intense, 10° ≤ 2θ ≤ 90°, sorted by position)
index  2theta  I_rel
0 0 2  16.48  32
1 0 0  22.98  18
0 1 1  24.44  23
1 0 2  28.41  100
0 0 4  33.32  22
1 1 0  40.36  41
0 2 2  50.09  21
1 1 4  53.30  33

Entry 2:
Calculated powder diffractogram
Compound: LaNd2Bi3
Radiation: Cu Ka
Structure: the PBE geometry in OQMD
Kinematic intensities with the Lorentz-polarization factor, no thermal factor.

Atomic structure:
```
data_LaNd2Bi3
_space_group_name_H-M_alt 'P -3 m 1'
_space_group_IT_number 164
_space_group_name_Hall '-P 3 2"'
_cell_length_a 4.6157
_cell_length_b 4.6157
_cell_length_c 11.3311
_cell_angle_alpha 90.00
_cell_angle_beta 90.00
_cell_angle_gamma 120.00
loop_
_atom_site_label
_atom_site_fract_x
_atom_site_fract_y
_atom_site_fract_z
La1 0.0000 0.0000 0.0000
Nd1 0.3333 0.6667 0.3355
Bi1 0.0000 0.0000 0.5000
Bi2 0.3333 0.6667 0.8296
```

Peak list (8 most intense, 10° ≤ 2θ ≤ 90°, sorted by position)
index  2theta  I_rel
1 0 2  27.30  100
1 1 0  39.00  79
0 0 6  48.19  7
0 2 2  48.29  22
2 0 4  56.34  14
2 1 2  63.71  38
1 0 8  70.54  7
3 0 0  70.67  21

Entry 3:
Calculated powder diffractogram
Compound: LaPrBi4Pd2
Radiation: Cu Ka
Structure: the PBE geometry in OQMD
Kinematic intensities with the Lorentz-polarization factor, no thermal factor.

Atomic structure:
```
data_LaPrBi4Pd2
_space_group_name_H-M_alt 'P 4 m m'
_space_group_IT_number 99
_space_group_name_Hall 'P 4 -2'
_cell_length_a 4.683
_cell_length_b 4.683
_cell_length_c 9.861
_cell_angle_alpha 90.00
_cell_angle_beta 90.00
_cell_angle_gamma 90.00
loop_
_atom_site_label
_atom_site_fract_x
_atom_site_fract_y
_atom_site_fract_z
La1 0.000 0.000 0.000
Pr1 0.500 0.500 0.533
Bi1 0.000 0.000 0.604
Bi2 0.000 0.500 0.268
Bi3 0.500 0.500 0.926
Pd1 0.000 0.500 0.765
```

Peak list (8 most intense, 10° ≤ 2θ ≤ 90°, sorted by position)
index  2theta  I_rel
1 0 2  26.25  14
0 0 3  27.13  16
1 1 1  28.43  24
1 1 2  32.57  100
2 0 0  38.44  48
2 0 3  47.69  15
2 2 0  55.50  17
3 1 2  65.85  27

Entry 4:
Calculated powder diffractogram
Compound: LiNi3Bi5
Radiation: Cu Ka
Structure: the PBE geometry in OQMD
Kinematic intensities with the Lorentz-polarization factor, no thermal factor.

Atomic structure:
```
data_LiNi3Bi5
_space_group_name_H-M_alt 'P 6/m m m'
_space_group_IT_number 191
_space_group_name_Hall '-P 6 2'
_cell_length_a 5.5235
_cell_length_b 5.5235
_cell_length_c 8.2432
_cell_angle_alpha 90.00
_cell_angle_beta 90.00
_cell_angle_gamma 120.00
loop_
_atom_site_label
_atom_site_fract_x
_atom_site_fract_y
_atom_site_fract_z
Li1 0.0000 0.0000 0.0000
Ni1 0.0000 0.5000 0.5000
Bi1 0.0000 0.0000 0.5000
Bi2 0.3333 0.6667 0.2273
```

Peak list (8 most intense, 10° ≤ 2θ ≤ 90°, sorted by position)
index  2theta  I_rel
0 0 1  10.73  37
1 0 0  18.55  29
0 0 2  21.51  35
1 0 2  28.59  85
1 1 0  32.42  100
1 1 2  39.25  80
2 0 2  43.76  61
1 1 4  55.65  34

Entry 5:
Calculated powder diffractogram
Compound: Li4Ni2BiSb
Radiation: Cu Ka
Structure: the PBE geometry in OQMD
Kinematic intensities with the Lorentz-polarization factor, no thermal factor.

Atomic structure:
```
data_Li4Ni2BiSb
_space_group_name_H-M_alt 'P -4 m 2'
_space_group_IT_number 115
_space_group_name_Hall 'P -4 -2'
_cell_length_a 4.367
_cell_length_b 4.367
_cell_length_c 6.217
_cell_angle_alpha 90.00
_cell_angle_beta 90.00
_cell_angle_gamma 90.00
loop_
_atom_site_label
_atom_site_fract_x
_atom_site_fract_y
_atom_site_fract_z
Li1 0.000 0.000 0.000
Li2 0.000 0.500 0.240
Li3 0.500 0.500 0.500
Ni1 0.000 0.500 0.766
Bi1 0.000 0.000 0.500
Sb1 0.500 0.500 0.000
```

Peak list (8 most intense, 10° ≤ 2θ ≤ 90°, sorted by position)
index  2theta  I_rel
1 0 1  24.92  100
1 1 0  28.91  11
1 1 2  41.21  53
2 0 0  41.35  26
1 0 3  48.63  16
2 1 1  48.88  33
2 1 3  65.69  13
3 1 2  75.30  18

Entry 6:
Calculated powder diffractogram
Compound: Li4BiPt2Pb
Radiation: Cu Ka
Structure: the PBE geometry in OQMD
Kinematic intensities with the Lorentz-polarization factor, no thermal factor.

Atomic structure:
```
data_Li4BiPt2Pb
_space_group_name_H-M_alt 'P -4 m 2'
_space_group_IT_number 115
_space_group_name_Hall 'P -4 -2'
_cell_length_a 4.603
_cell_length_b 4.603
_cell_length_c 6.507
_cell_angle_alpha 90.00
_cell_angle_beta 90.00
_cell_angle_gamma 90.00
loop_
_atom_site_label
_atom_site_fract_x
_atom_site_fract_y
_atom_site_fract_z
Li1 0.000 0.000 0.000
Li2 0.000 0.500 0.749
Li3 0.500 0.500 0.500
Bi1 0.500 0.500 0.000
Pt1 0.000 0.500 0.250
Pb1 0.000 0.000 0.500
```

Peak list (8 most intense, 10° ≤ 2θ ≤ 90°, sorted by position)
index  2theta  I_rel
1 0 1  23.68  100
2 0 0  39.15  92
2 1 1  46.26  52
2 2 0  56.56  16
3 0 1  62.17  22
3 1 2  70.94  33
3 2 1  75.97  17
4 1 1  88.97  18

Entry 7:
Calculated powder diffractogram
Compound: LiBiPd2
Radiation: Cu Ka
Structure: the PBE geometry in OQMD
Kinematic intensities with the Lorentz-polarization factor, no thermal factor.

Atomic structure:
```
data_LiBiPd2
_space_group_name_H-M_alt 'P n m a'
_space_group_IT_number 62
_space_group_name_Hall '-P 2ac 2n'
_cell_length_a 9.238
_cell_length_b 6.605
_cell_length_c 4.619
_cell_angle_alpha 90.00
_cell_angle_beta 90.00
_cell_angle_gamma 90.00
loop_
_atom_site_label
_atom_site_fract_x
_atom_site_fract_y
_atom_site_fract_z
Li1 0.125 0.250 0.247
Bi1 0.124 0.750 0.246
Pd1 0.126 0.000 0.745
```

Peak list (8 most intense, 10° ≤ 2θ ≤ 90°, sorted by position)
index  2theta  I_rel
0 1 1  23.50  79
2 2 1  38.78  100
4 0 0  39.00  49
2 3 0  45.65  14
4 1 1  46.04  28
4 0 2  56.34  17
4 4 0  70.05  18
6 2 1  70.50  35

Entry 8:
Calculated powder diffractogram
Compound: LiBiPd4
Radiation: Cu Ka
Structure: the PBE geometry in OQMD
Kinematic intensities with the Lorentz-polarization factor, no thermal factor.

Atomic structure:
```
data_LiBiPd4
_space_group_name_H-M_alt 'C 1 2/m 1'
_space_group_IT_number 12
_space_group_name_Hall '-C 2y'
_cell_length_a 4.813
_cell_length_b 9.028
_cell_length_c 4.785
_cell_angle_alpha 90.00
_cell_angle_beta 105.57
_cell_angle_gamma 90.00
loop_
_atom_site_label
_atom_site_fract_x
_atom_site_fract_y
_atom_site_fract_z
Li1 0.000 0.000 0.000
Bi1 0.000 0.500 0.500
Pd1 0.000 0.162 0.500
Pd2 0.000 0.334 0.000
```

Peak list (8 most intense, 10° ≤ 2θ ≤ 90°, sorted by position)
index  2theta  I_rel
0 0 1  19.26  26
1 1 0  21.55  39
0 2 1  27.66  25
1 3 -1  38.06  100
2 0 0  38.85  47
0 0 2  39.08  47
1 3 1  43.31  69
2 0 -2  47.59  26

Entry 9:
Calculated powder diffractogram
Compound: LiBiPd2
Radiation: Cu Ka
Structure: the PBE geometry in OQMD
Kinematic intensities with the Lorentz-polarization factor, no thermal factor.

Atomic structure:
```
data_LiBiPd2
_space_group_name_H-M_alt 'P 63/m m c'
_space_group_IT_number 194
_space_group_name_Hall '-P 6c 2c'
_cell_length_a 4.6099
_cell_length_b 4.6099
_cell_length_c 8.1894
_cell_angle_alpha 90.00
_cell_angle_beta 90.00
_cell_angle_gamma 120.00
loop_
_atom_site_label
_atom_site_fract_x
_atom_site_fract_y
_atom_site_fract_z
Li1 0.0000 0.0000 0.2500
Bi1 0.3333 0.6667 0.2500
Pd1 0.3333 0.6667 0.5842
```

Peak list (8 most intense, 10° ≤ 2θ ≤ 90°, sorted by position)
index  2theta  I_rel
1 0 0  22.27  72
1 0 1  24.81  17
1 1 0  39.08  73
1 0 3  40.01  100
2 0 3  57.17  35
3 0 0  70.80  13
2 1 3  71.43  36
1 1 6  82.05  17

Entry 10:
Calculated powder diffractogram
Compound: LiBi5Pd3
Radiation: Cu Ka
Structure: the PBE geometry in OQMD
Kinematic intensities with the Lorentz-polarization factor, no thermal factor.

Atomic structure:
```
data_LiBi5Pd3
_space_group_name_H-M_alt 'P 6/m m m'
_space_group_IT_number 191
_space_group_name_Hall '-P 6 2'
_cell_length_a 5.7970
_cell_length_b 5.7970
_cell_length_c 8.3703
_cell_angle_alpha 90.00
_cell_angle_beta 90.00
_cell_angle_gamma 120.00
loop_
_atom_site_label
_atom_site_fract_x
_atom_site_fract_y
_atom_site_fract_z
Li1 0.0000 0.0000 0.0000
Bi1 0.0000 0.0000 0.5000
Bi2 0.3333 0.6667 0.2163
Pd1 0.0000 0.5000 0.5000
```

Peak list (8 most intense, 10° ≤ 2θ ≤ 90°, sorted by position)
index  2theta  I_rel
0 0 1  10.57  60
1 0 0  17.67  43
1 0 2  27.75  69
1 1 0  30.85  100
2 0 1  37.40  52
1 1 2  37.75  58
2 0 2  41.97  85
2 2 0  64.27  39

Entry 11:
Calculated powder diffractogram
Compound: Lu4Ta2Bi3N3
Radiation: Cu Ka
Structure: the PBE geometry in OQMD
Kinematic intensities with the Lorentz-polarization factor, no thermal factor.

Atomic structure:
```
data_Lu4Ta2Bi3N3
_space_group_name_H-M_alt 'C 1 2/c 1'
_space_group_IT_number 15
_space_group_name_Hall '-C 2yc'
_cell_length_a 10.403
_cell_length_b 6.034
_cell_length_c 14.538
_cell_angle_alpha 90.00
_cell_angle_beta 103.64
_cell_angle_gamma 90.00
loop_
_atom_site_label
_atom_site_fract_x
_atom_site_fract_y
_atom_site_fract_z
Lu1 0.113 0.083 0.086
Lu2 0.221 0.082 0.414
Ta1 0.056 0.420 0.927
Bi1 0.000 0.101 0.750
Bi2 0.158 0.425 0.249
N1 0.083 0.251 0.500
N2 0.250 0.250 0.000
```

Peak list (8 most intense, 10° ≤ 2θ ≤ 90°, sorted by position)
index  2theta  I_rel
3 1 -1  29.72  23
3 1 2  35.36  100
3 1 -4  35.46  50
0 0 6  38.22  25
0 2 6  49.08  14
3 3 -1  52.60  23
6 0 4  66.92  15
3 1 8  67.22  15

Entry 12:
Calculated powder diffractogram
Compound: Lu2Bi3W4N3
Radiation: Cu Ka
Structure: the PBE geometry in OQMD
Kinematic intensities with the Lorentz-polarization factor, no thermal factor.

Atomic structure:
```
data_Lu2Bi3W4N3
_space_group_name_H-M_alt 'C 1 2/c 1'
_space_group_IT_number 15
_space_group_name_Hall '-C 2yc'
_cell_length_a 9.949
_cell_length_b 5.809
_cell_length_c 15.089
_cell_angle_alpha 90.00
_cell_angle_beta 91.01
_cell_angle_gamma 90.00
loop_
_atom_site_label
_atom_site_fract_x
_atom_site_fract_y
_atom_site_fract_z
Lu1 0.086 0.082 0.407
Bi1 0.000 0.401 0.250
Bi2 0.170 0.125 0.716
W1 0.070 0.432 0.571
W2 0.224 0.423 0.948
N1 0.071 0.235 0.005
N2 0.250 0.250 0.500
```

Peak list (8 most intense, 10° ≤ 2θ ≤ 90°, sorted by position)
index  2theta  I_rel
2 0 -4  29.49  17
3 1 -1  31.54  35
3 1 2  33.48  71
0 2 3  35.70  100
3 1 -4  39.06  38
1 1 -6  39.97  15
3 3 -1  55.22  24
4 2 -7  65.21  17